# 1
Diffraction record for Dy3Cu2Ni7. The powder diffraction line list is calculated, not measured: it uses a crystal structure in Alexandria, relaxed with GGA-PBE and a wavelength of 1.5418 Å.

Peak list (12 most intense, 10° ≤ 2θ ≤ 80°, by angle)
2θ = 33.06°, I 43
2θ = 35.88°, I 52
2θ = 36.11°, I 37
2θ = 41.85°, I 36
2θ = 42.45°, I 100
2θ = 44.76°, I 11
2θ = 45.84°, I 14
2θ = 46.12°, I 13
2θ = 62.71°, I 14
2θ = 64.64°, I 13
2θ = 69.03°, I 33
2θ = 76.06°, I 20

Cell and atoms:
```
Dy3Cu2Ni7
1.0
2.503 1.445 8.100
-2.503 1.445 8.100
0.000 -2.890 8.100
Dy Cu Ni
3 2 7
direct
0.000 0.000 0.000
0.139 0.139 0.139
0.861 0.861 0.861
0.334 0.334 0.334
0.666 0.666 0.666
0.081 0.584 0.584
0.416 0.416 0.919
0.416 0.919 0.416
0.500 0.500 0.500
0.584 0.081 0.584
0.584 0.584 0.081
0.919 0.416 0.416
```

# 2
Diffraction record for DyCuNi. The powder diffraction line list is calculated, not measured: it uses a crystal structure in Alexandria, relaxed with GGA-PBE and a wavelength of 1.5418 Å.

Peak list (12 most intense, 10° ≤ 2θ ≤ 80°, by angle)
2θ = 35.10°, I 96
2θ = 35.53°, I 100
2θ = 35.71°, I 100
2θ = 42.95°, I 46
2θ = 43.40°, I 44
2θ = 44.48°, I 44
2θ = 51.20°, I 29
2θ = 56.45°, I 23
2θ = 57.66°, I 27
2θ = 58.12°, I 22
2θ = 69.32°, I 24
2θ = 70.12°, I 22

Cell and atoms:
```
DyCuNi
1.0
4.074 0.000 0.000
0.000 3.568 0.000
-0.081 0.000 7.330
Dy Cu Ni
2 2 2
direct
0.250 0.000 0.231
0.750 0.000 0.769
0.252 0.502 0.588
0.748 0.502 0.412
0.249 0.499 0.916
0.751 0.499 0.084
```

# 3
Diffraction record for DyCu4Ni. The powder diffraction line list is calculated, not measured: it uses a crystal structure in Alexandria, relaxed with GGA-PBE and a wavelength of 1.5418 Å.

Peak list (12 most intense, 10° ≤ 2θ ≤ 80°, by angle)
2θ = 20.95°, I 17
2θ = 22.61°, I 49
2θ = 27.54°, I 26
2θ = 28.84°, I 52
2θ = 40.07°, I 22
2θ = 41.84°, I 100
2θ = 42.64°, I 91
2θ = 46.16°, I 36
2θ = 53.75°, I 47
2θ = 56.86°, I 16
2θ = 68.29°, I 22
2θ = 73.50°, I 18

Cell and atoms:
```
DyCu4Ni
1.0
3.933 -2.517 0.000
3.933 2.517 0.000
-0.005 0.000 5.017
Dy Cu Ni
1 4 1
direct
0.000 0.000 0.000
0.000 0.500 0.500
0.500 0.000 0.500
0.500 0.500 0.262
0.500 0.500 0.738
0.000 0.000 0.500
```

Copy entry 1 word for word.
Diffraction record for Dy3Cu2Ni7. The powder diffraction line list is calculated, not measured: it uses a crystal structure in Alexandria, relaxed with GGA-PBE and a wavelength of 1.5418 Å.

Peak list (12 most intense, 10° ≤ 2θ ≤ 80°, by angle)
2θ = 33.06°, I 43
2θ = 35.88°, I 52
2θ = 36.11°, I 37
2θ = 41.85°, I 36
2θ = 42.45°, I 100
2θ = 44.76°, I 11
2θ = 45.84°, I 14
2θ = 46.12°, I 13
2θ = 62.71°, I 14
2θ = 64.64°, I 13
2θ = 69.03°, I 33
2θ = 76.06°, I 20

Cell and atoms:
```
Dy3Cu2Ni7
1.0
2.503 1.445 8.100
-2.503 1.445 8.100
0.000 -2.890 8.100
Dy Cu Ni
3 2 7
direct
0.000 0.000 0.000
0.139 0.139 0.139
0.861 0.861 0.861
0.334 0.334 0.334
0.666 0.666 0.666
0.081 0.584 0.584
0.416 0.416 0.919
0.416 0.919 0.416
0.500 0.500 0.500
0.584 0.081 0.584
0.584 0.584 0.081
0.919 0.416 0.416
```

What did the third record say?
Diffraction record for DyCu4Ni. The powder diffraction line list is calculated, not measured: it uses a crystal structure in Alexandria, relaxed with GGA-PBE and a wavelength of 1.5418 Å.

Peak list (12 most intense, 10° ≤ 2θ ≤ 80°, by angle)
2θ = 20.95°, I 17
2θ = 22.61°, I 49
2θ = 27.54°, I 26
2θ = 28.84°, I 52
2θ = 40.07°, I 22
2θ = 41.84°, I 100
2θ = 42.64°, I 91
2θ = 46.16°, I 36
2θ = 53.75°, I 47
2θ = 56.86°, I 16
2θ = 68.29°, I 22
2θ = 73.50°, I 18

Cell and atoms:
```
DyCu4Ni
1.0
3.933 -2.517 0.000
3.933 2.517 0.000
-0.005 0.000 5.017
Dy Cu Ni
1 4 1
direct
0.000 0.000 0.000
0.000 0.500 0.500
0.500 0.000 0.500
0.500 0.500 0.262
0.500 0.500 0.738
0.000 0.000 0.500
```